This entry pairs a crystal structure of La6NdPt4 with its simulated X-ray powder pattern. Radiation: Cu Kα. Structure: a structure optimized by DFT (PBE).
Peak positions follow from Bragg's law for the DFT cell and can differ from measured ones.

Cell and atoms:
Unit cell a=9.0697 b=8.3305 c=9.6049 alpha=90.00 beta=117.60 gamma=90.00
Space group Cm (No. 8)
Inequivalent atoms, fractional coordinates:
La  0.0000  0.0000  0.0000 [2 per cell]
La  0.0396  0.5000  0.9963 [2 per cell]
La  0.1295  0.2381  0.7144 [4 per cell]
La  0.2159  0.2539  0.3795 [4 per cell]
Nd  0.4292  0.0000  0.3161 [2 per cell]
Pt  0.3000  0.2386  0.0590 [4 per cell]
Pt  0.3328  0.5000  0.6458 [2 per cell]
Pt  0.3574  0.0000  0.6440 [2 per cell]

Principal peaks in the range 2θ from 10° to 80°, in order of rising 2θ:
two_theta	d (Å)	Rel. int.
29.1	3.068	965
30.9	2.892	999
31.1	2.880	938
31.5	2.837	1000
36.0	2.497	932
36.2	2.481	964
38.4	2.345	607
39.8	2.267	787
43.5	2.083	621
54.7	1.679	410
60.3	1.534	439
70.0	1.345	318